1.
For CsMg3ZnP3, the GGA-PBE geometry in OQMD gives the computed X-ray powder pattern in this record (Cu Kα, 1.54184 Å).
Kinematic intensities with the Lorentz-polarization factor, no thermal factor.

Largest 6 diffraction maxima, by angle, 15° ≤ 2θ ≤ 90°:
2θ/deg	I (rel.)
25.29	43.7
26.43	100.0
27.00	69.6
30.57	88.9
33.99	50.5
45.47	76.5

Cell and atoms:
Cell: 4.232 4.380 10.563 Å, 90.00 90.00 90.00°
Space group Pmm2 (No. 25)
One atom of each set of equivalent atoms:
1 Cs 0.000 0.000 0.000 (multiplicity 1)
2 Mg 0.000 0.500 0.648 (multiplicity 1)
3 Mg 0.500 0.000 0.350 (multiplicity 1)
4 Mg 0.500 0.000 0.658 (multiplicity 1)
5 Zn 0.000 0.500 0.342 (multiplicity 1)
6 P 0.000 0.000 0.500 (multiplicity 1)
7 P 0.500 0.500 0.228 (multiplicity 1)
8 P 0.500 0.500 0.777 (multiplicity 1)

=====

2.
For CsTmMgS3, the GGA-PBE geometry in OQMD gives the computed X-ray powder pattern in this record (Cu Kα, 1.54184 Å).
Kinematic intensities with the Lorentz-polarization factor, no thermal factor.

Largest 6 diffraction maxima, by angle, 15° ≤ 2θ ≤ 90°:
2θ/deg	I (rel.)
20.60	31.8
22.35	46.8
23.70	50.0
29.17	100.0
30.09	43.3
33.88	35.0

Cell and atoms:
Cell: 9.261 4.097 10.073 Å, 90.00 111.41 90.00°
Space group P2_1/m (No. 11)
One atom of each set of equivalent atoms:
1 Cs 0.218 0.250 0.237 (multiplicity 2)
2 Tm 0.335 0.750 0.868 (multiplicity 2)
3 Mg 0.085 0.250 0.613 (multiplicity 2)
4 S 0.134 0.250 0.863 (multiplicity 2)
5 S 0.192 0.750 0.553 (multiplicity 2)
6 S 0.478 0.750 0.148 (multiplicity 2)